PmTaNi: computed X-ray diffraction stick pattern (CuKα), based on the PBE geometry in Alexandria.
Intensities are scaled so that the largest is 1000.

a b c (Å): 3.2732 3.2732 11.0466
angles (deg): 90.00 90.00 90.00
Atoms (fractional coordinates):
1 Pm 0.0000 0.0000 0.1656
2 Pm 0.0000 0.0000 0.8344
3 Ta 0.5000 0.5000 0.3744
4 Ta 0.5000 0.5000 0.6256
5 Ni 0.0000 0.0000 0.5000
6 Ni 0.5000 0.5000 0.0000

Principal peaks in the range 2θ = 5–70°, sorted by position:
Position (°2θ)  intensity
8.00  185
28.44  305
32.42  108
36.74  1000
38.91  564
51.52  122
56.20  192
57.68  89
64.69  75
69.05  310


Tb12PmNi6: computed X-ray diffraction stick pattern (CuKα), based on the PBE geometry in Alexandria.
Intensities are scaled so that the largest is 1000.

a b c (Å): 8.5600 8.5600 8.5600
angles (deg): 109.47 109.47 109.47
Atoms (fractional coordinates):
1 Tb 0.1270 0.3115 0.8156
2 Tb 0.1844 0.4959 0.3115
3 Tb 0.1844 0.8730 0.6885
4 Tb 0.3115 0.1844 0.4959
5 Tb 0.3115 0.8156 0.1270
6 Tb 0.4959 0.3115 0.1844
7 Tb 0.5041 0.6885 0.8156
8 Tb 0.6885 0.1844 0.8730
9 Tb 0.6885 0.8156 0.5041
10 Tb 0.8156 0.1270 0.3115
11 Tb 0.8156 0.5041 0.6885
12 Tb 0.8730 0.6885 0.1844
13 Pm 0.0000 0.0000 0.0000
14 Ni 0.1236 0.5000 0.6236
15 Ni 0.3764 0.8764 0.5000
16 Ni 0.5000 0.3764 0.8764
17 Ni 0.5000 0.6236 0.1236
18 Ni 0.6236 0.1236 0.5000
19 Ni 0.8764 0.5000 0.3764

Principal peaks in the range 2θ = 5–70°, sorted by position:
Position (°2θ)  intensity
28.56  504
31.35  323
33.94  1000
36.36  109
38.65  92
46.87  235
54.10  327
55.81  157
57.47  330
66.94  157


Tb2Pm2Ni15: computed X-ray diffraction stick pattern (CuKα), based on the PBE geometry in Alexandria.
Intensities are scaled so that the largest is 1000.

a b c (Å): 6.5121 6.5121 6.5121
angles (deg): 82.50 82.50 82.50
Atoms (fractional coordinates):
1 Tb 0.1110 0.1110 0.1110
2 Tb 0.8890 0.8890 0.8890
3 Pm 0.3593 0.3593 0.3593
4 Pm 0.6407 0.6407 0.6407
5 Ni 0.0000 0.0000 0.5000
6 Ni 0.0000 0.3087 0.6913
7 Ni 0.0000 0.5000 0.0000
8 Ni 0.0000 0.6913 0.3087
9 Ni 0.1672 0.6523 0.6523
10 Ni 0.3087 0.0000 0.6913
11 Ni 0.3087 0.6913 0.0000
12 Ni 0.3477 0.3477 0.8328
13 Ni 0.3477 0.8328 0.3477
14 Ni 0.5000 0.0000 0.0000
15 Ni 0.6523 0.1672 0.6523
16 Ni 0.6523 0.6523 0.1672
17 Ni 0.6913 0.0000 0.3087
18 Ni 0.6913 0.3087 0.0000
19 Ni 0.8328 0.3477 0.3477

Principal peaks in the range 2θ = 5–70°, sorted by position:
Position (°2θ)  intensity
20.69  290
30.69  566
36.24  899
37.30  680
42.09  1000
42.28  838
42.84  282
43.03  650
47.51  571
61.76  228